The following is a computed PXRD pattern of MoP4H36C12Cl2. It was derived from a cell relaxed with PBE, using Cu Kα (λ = 1.5418 Å).
Kinematic intensities with the Lorentz-polarization factor, no thermal factor.

Main lines, in order of rising 2θ (2θ from 5° to 70°):
Position (°2θ)	d [Å]	intensity
11.3	7.825	100
12.7	6.987	25
13.8	6.408	22
21.3	4.178	10
25.5	3.493	16
28.6	3.125	10
29.1	3.069	9
30.7	2.913	7
33.4	2.680	17
40.7	2.217	7

Crystal structure
Unit cell a=9.4807 b=9.4807 c=9.4807 alpha=117.19 beta=117.19 gamma=94.94
Atoms (fractional coordinates):
Mo 0.0000 0.0000 0.0000
P 0.1448 0.1448 0.3550
P 0.2102 0.8552 0.0000
P 0.7898 0.7898 0.6450
P 0.8552 0.2102 0.0000
H 0.0130 0.4586 0.3323
H 0.0622 0.5598 0.8728
H 0.0873 0.2537 0.6045
H 0.1028 0.4729 0.2075
H 0.1047 0.8972 0.3701
H 0.1262 0.6807 0.6677
H 0.1894 0.6870 0.1272
H 0.2537 0.0873 0.6045
H 0.2653 0.8953 0.7925
H 0.2887 0.6155 0.0000
H 0.3130 0.4402 0.5024
H 0.3193 0.9870 0.4455
H 0.3508 0.7463 0.8336
H 0.3845 0.3845 0.6732
H 0.4402 0.3130 0.5024
H 0.4586 0.0130 0.3323
H 0.4729 0.1028 0.2075
H 0.4828 0.6492 0.3955
H 0.5172 0.9127 0.1664
H 0.5271 0.7346 0.6299
H 0.5414 0.8738 0.5545
H 0.5598 0.0622 0.8728
H 0.6155 0.2887 0.0000
H 0.6492 0.4828 0.3955
H 0.6807 0.1262 0.6677
H 0.6870 0.1894 0.1272
H 0.7113 0.7113 0.3268
H 0.7346 0.5271 0.6299
H 0.7463 0.3508 0.8336
H 0.8106 0.9378 0.4976
H 0.8738 0.5414 0.5545
H 0.8953 0.2653 0.7925
H 0.8972 0.1047 0.3701
H 0.9127 0.5172 0.1664
H 0.9378 0.8106 0.4976
H 0.9870 0.3193 0.4455
C 0.0167 0.2132 0.4540
C 0.1860 0.6607 0.0000
C 0.2132 0.0167 0.4540
C 0.2408 0.7868 0.8035
C 0.3393 0.3393 0.5253
C 0.4373 0.9833 0.1965
C 0.5627 0.7592 0.5460
C 0.6607 0.1860 0.0000
C 0.7592 0.5627 0.5460
C 0.7868 0.2408 0.8035
C 0.8140 0.8140 0.4747
C 0.9833 0.4373 0.1965
Cl 0.1934 0.1934 0.0000
Cl 0.8066 0.8066 0.0000